Simulated powder diffraction line list
Compound: Li2FePdC
Radiation: Cu Kα, 1.54184 Å
Structure: the PBE geometry in Alexandria

Atomic structure:
a = 4.3661 Å, b = 4.3661 Å, c = 4.4367 Å
α = 90.00°, β = 90.00°, γ = 90.00°
Space group P4/mmm (No. 123)
Symmetry-distinct sites (fractional):
Li 0.0000 0.5000 0.0000
Fe 0.0000 0.0000 0.0000
Pd 0.0000 0.0000 0.5000
C 0.5000 0.5000 0.5000

Largest 8 diffraction maxima, sorted by position, 10 to 90 degrees two-theta:
- 4.366 Å, 20.3°, intensity 100, (1 0 0)
- 3.087 Å, 28.9°, intensity 49, (1 1 0)
- 2.183 Å, 41.4°, intensity 22, (2 0 0)
- 1.978 Å, 45.9°, intensity 23, (1 0 2)
- 1.953 Å, 46.5°, intensity 22, (2 1 0)
- 1.802 Å, 50.7°, intensity 19, (1 1 2)
- 1.556 Å, 59.4°, intensity 15, (2 0 2)
- 1.466 Å, 63.5°, intensity 17, (2 1 2)

=====

Simulated powder diffraction line list
Compound: SrLiFeC
Radiation: Cu Kα, 1.54184 Å
Structure: the PBE geometry in Alexandria

Atomic structure:
a = 3.5663 Å, b = 3.5663 Å, c = 11.2714 Å
α = 90.00°, β = 90.00°, γ = 90.00°
Space group P4/nmm (No. 129, origin choice 2)
Symmetry-distinct sites (fractional):
Sr 0.2500 0.2500 0.2234
Li 0.2500 0.7500 0.5000
Fe 0.2500 0.7500 0.0000
C 0.2500 0.2500 0.9315

Largest 8 diffraction maxima, sorted by position, 10 to 90 degrees two-theta:
- 3.400 Å, 26.2°, intensity 99, (1 0 1)
- 2.818 Å, 31.8°, intensity 39, (0 0 4)
- 2.587 Å, 34.7°, intensity 54, (1 0 3)
- 2.302 Å, 39.1°, intensity 100, (1 1 2)
- 2.094 Å, 43.2°, intensity 33, (1 1 3)
- 1.783 Å, 51.2°, intensity 29, (2 0 0)
- 1.579 Å, 58.4°, intensity 21, (2 1 1)
- 1.507 Å, 61.6°, intensity 39, (2 0 4)

=====

Simulated powder diffraction line list
Compound: LuFeC
Radiation: Cu Kα, 1.54184 Å
Structure: the PBE geometry in Alexandria

Atomic structure:
a = 3.3933 Å, b = 3.3933 Å, c = 3.8917 Å
α = 90.00°, β = 90.00°, γ = 120.00°
Space group P-6m2 (No. 187)
Symmetry-distinct sites (fractional):
Lu 0.0000 0.0000 0.0000
Fe 0.3333 0.6667 0.5000
C 0.6667 0.3333 0.5000

Largest 8 diffraction maxima, sorted by position, 10 to 90 degrees two-theta:
- 3.892 Å, 22.9°, intensity 14, (0 0 1)
- 2.939 Å, 30.4°, intensity 43, (1 0 0)
- 2.345 Å, 38.4°, intensity 100, (1 0 1)
- 1.946 Å, 46.7°, intensity 12, (0 0 2)
- 1.697 Å, 54.0°, intensity 24, (1 1 0)
- 1.622 Å, 56.7°, intensity 16, (1 0 2)
- 1.375 Å, 68.2°, intensity 18, (2 0 1)
- 1.279 Å, 74.1°, intensity 18, (1 1 2)

=====

Simulated powder diffraction line list
Compound: LuTiFe11C
Radiation: Cu Kα, 1.54184 Å
Structure: the PBE geometry in Alexandria

Atomic structure:
a = 4.7995 Å, b = 8.5390 Å, c = 8.4809 Å
α = 90.00°, β = 90.00°, γ = 90.00°
Space group Imm2 (No. 44)
Symmetry-distinct sites (fractional):
Lu 0.0000 0.0000 0.0000
Ti 0.0000 0.0000 0.6256
Fe 0.0000 0.0000 0.3472
Fe 0.0000 0.2804 0.4894
Fe 0.0000 0.3576 0.9914
Fe 0.0000 0.5000 0.2696
Fe 0.0000 0.5000 0.7158
Fe 0.2495 0.2486 0.2422
C 0.0000 0.5000 0.4932

Largest 8 diffraction maxima, sorted by position, 10 to 90 degrees two-theta:
- 2.982 Å, 30.0°, intensity 30, (1 2 1)
- 2.448 Å, 36.7°, intensity 18, (1 3 0)
- 2.436 Å, 36.9°, intensity 17, (1 0 3)
- 2.135 Å, 42.3°, intensity 22, (0 4 0)
- 2.119 Å, 42.7°, intensity 100, (0 0 4)
- 2.090 Å, 43.3°, intensity 58, (2 0 2)
- 1.876 Å, 48.5°, intensity 15, (2 2 2)
- 1.324 Å, 71.2°, intensity 16, (3 3 2)

=====

Simulated powder diffraction line list
Compound: TmMgFeC
Radiation: Cu Kα, 1.54184 Å
Structure: the PBE geometry in Alexandria

Atomic structure:
a = 3.5781 Å, b = 3.5781 Å, c = 10.1157 Å
α = 90.00°, β = 90.00°, γ = 90.00°
Space group P4/nmm (No. 129, origin choice 2)
Symmetry-distinct sites (fractional):
Tm 0.2500 0.2500 0.2097
Mg 0.2500 0.7500 0.5000
Fe 0.2500 0.7500 0.0000
C 0.2500 0.2500 0.9117

Largest 8 diffraction maxima, sorted by position, 10 to 90 degrees two-theta:
- 3.373 Å, 26.4°, intensity 100, (1 0 1)
- 2.529 Å, 35.5°, intensity 20, (0 0 4)
- 2.454 Å, 36.6°, intensity 29, (1 0 3)
- 2.263 Å, 39.8°, intensity 67, (1 1 2)
- 2.065 Å, 43.8°, intensity 22, (1 0 4)
- 2.024 Å, 44.8°, intensity 29, (0 0 5)
- 1.789 Å, 51.0°, intensity 21, (2 0 0)
- 1.580 Å, 58.4°, intensity 31, (2 1 1)

=====

Simulated powder diffraction line list
Compound: Mn5Fe5C4
Radiation: Cu Kα, 1.54184 Å
Structure: the PBE geometry in Alexandria

Atomic structure:
a = 4.5128 Å, b = 4.9660 Å, c = 6.1849 Å
α = 82.96°, β = 69.59°, γ = 89.97°
Space group P1 (No. 1)
Symmetry-distinct sites (fractional):
Mn 0.0000 0.0000 0.0000
Mn 0.0604 0.5571 0.5645
Mn 0.2408 0.0570 0.5721
Mn 0.6249 0.4438 0.4282
Mn 0.8695 0.5018 0.9995
Fe 0.2528 0.3337 0.1980
Fe 0.4197 0.8316 0.2026
Fe 0.4486 0.6713 0.8003
Fe 0.6181 0.1665 0.7999
Fe 0.8077 0.9455 0.4301
C 0.0104 0.6730 0.2256
C 0.2299 0.3297 0.7858
C 0.6398 0.1721 0.2141
C 0.8596 0.8267 0.7768

Largest 8 diffraction maxima, sorted by position, 10 to 90 degrees two-theta:
- 2.169 Å, 41.6°, intensity 44, (1 -2 0)
- 2.163 Å, 41.8°, intensity 42, (0 2 -1)
- 2.063 Å, 43.9°, intensity 82, (1 0 -2)
- 2.051 Å, 44.2°, intensity 100, (2 1 1)
- 2.034 Å, 44.5°, intensity 76, (1 0 3)
- 2.003 Å, 45.3°, intensity 39, (0 2 2)
- 1.987 Å, 45.6°, intensity 45, (-1 2 1)
- 1.976 Å, 45.9°, intensity 35, (1 2 2)

=====

Please write out number 6 again, unchanged.
Simulated powder diffraction line list
Compound: Mn5Fe5C4
Radiation: Cu Kα, 1.54184 Å
Structure: the PBE geometry in Alexandria

Atomic structure:
a = 4.5128 Å, b = 4.9660 Å, c = 6.1849 Å
α = 82.96°, β = 69.59°, γ = 89.97°
Space group P1 (No. 1)
Symmetry-distinct sites (fractional):
Mn 0.0000 0.0000 0.0000
Mn 0.0604 0.5571 0.5645
Mn 0.2408 0.0570 0.5721
Mn 0.6249 0.4438 0.4282
Mn 0.8695 0.5018 0.9995
Fe 0.2528 0.3337 0.1980
Fe 0.4197 0.8316 0.2026
Fe 0.4486 0.6713 0.8003
Fe 0.6181 0.1665 0.7999
Fe 0.8077 0.9455 0.4301
C 0.0104 0.6730 0.2256
C 0.2299 0.3297 0.7858
C 0.6398 0.1721 0.2141
C 0.8596 0.8267 0.7768

Largest 8 diffraction maxima, sorted by position, 10 to 90 degrees two-theta:
- 2.169 Å, 41.6°, intensity 44, (1 -2 0)
- 2.163 Å, 41.8°, intensity 42, (0 2 -1)
- 2.063 Å, 43.9°, intensity 82, (1 0 -2)
- 2.051 Å, 44.2°, intensity 100, (2 1 1)
- 2.034 Å, 44.5°, intensity 76, (1 0 3)
- 2.003 Å, 45.3°, intensity 39, (0 2 2)
- 1.987 Å, 45.6°, intensity 45, (-1 2 1)
- 1.976 Å, 45.9°, intensity 35, (1 2 2)